Entry 1:
The following is a computed powder XRD pattern of BaCdTe2. It was derived from a DFT-relaxed cell (GGA-PBE, Alexandria), using Cu Kα (λ = 1.5418 Å).
Neutral-atom scattering factors, no anomalous dispersion.

Largest 8 diffraction maxima, low angle first, 2θ from 10° to 90°:
d 4.598, 19.30°, I = 63; d 3.637, 24.47°, I = 100; d 3.276, 27.22°, I = 87; d 2.988, 29.90°, I = 89; d 2.901, 30.83°, I = 59; d 2.734, 32.76°, I = 98; d 2.334, 38.57°, I = 54; d 2.293, 39.29°, I = 49

Atomic structure:
```
BaCdTe2
1.0
7.9950 0.0000 0.0000
0.0000 4.6688 0.0000
0.0000 0.0000 16.8622
Ba Cd Te
4 4 8
Cartesian
0.3586 1.1672 2.6550
3.6389 3.5016 11.0861
4.3561 1.1672 5.7761
7.6364 3.5016 14.2073
0.8920 3.5016 7.2828
3.1055 1.1672 15.7139
4.8895 3.5016 1.1483
7.1030 1.1672 9.5794
1.9296 1.1672 8.8243
2.0003 1.1672 13.1775
1.9972 3.5016 4.7464
2.0679 3.5016 0.3931
5.9271 1.1672 16.4691
5.9978 1.1672 12.1158
5.9947 3.5016 3.6847
6.0655 3.5016 8.0380
```


Entry 2:
The following is a computed powder XRD pattern of Rb2YSbI6. It was derived from a DFT-relaxed cell (GGA-PBE, Alexandria), using Cu Kα (λ = 1.5418 Å).
Neutral-atom scattering factors, no anomalous dispersion.

Largest 8 diffraction maxima, low angle first, 2θ from 10° to 90°:
d 6.045, 14.65°, I = 29; d 3.667, 24.27°, I = 100; d 3.568, 24.96°, I = 53; d 3.022, 29.56°, I = 83; d 2.306, 39.06°, I = 64; d 2.137, 42.29°, I = 31; d 1.846, 49.36°, I = 28; d 1.833, 49.73°, I = 31

Atomic structure:
```
Rb2YSbI6
1.0
-4.2743 4.2743 7.1357
4.2743 -4.2743 7.1357
4.2743 4.2743 -7.1357
Rb Y Sb I
2 1 1 6
Cartesian
4.2743 0.0000 3.5679
0.0000 4.2743 3.5679
0.0000 0.0000 0.0000
0.0000 0.0000 7.1357
0.0000 0.0000 3.0319
2.1333 2.1333 0.0000
2.1410 -2.1410 7.1357
-2.1410 2.1410 7.1357
2.1410 2.1410 7.1357
0.0000 0.0000 11.2395
```


Entry 3:
The following is a computed powder XRD pattern of SnS5Cl. It was derived from a DFT-relaxed cell (GGA-PBE, Alexandria), using Cu Kα (λ = 1.5418 Å).
Neutral-atom scattering factors, no anomalous dispersion.

Largest 8 diffraction maxima, low angle first, 2θ from 10° to 90°:
d 5.328, 16.64°, I = 77; d 4.428, 20.05°, I = 24; d 3.913, 22.72°, I = 40; d 3.817, 23.30°, I = 100; d 3.359, 26.53°, I = 33; d 2.909, 30.73°, I = 39; d 2.267, 39.77°, I = 31; d 2.004, 45.26°, I = 39

Atomic structure:
```
SnS5Cl
1.0
2.4501 -10.6554 0.0000
2.4501 10.6554 0.0000
-1.7941 0.0000 4.3280
Sn S Cl
1 5 1
Cartesian
0.0000 0.0000 0.0000
1.6754 1.6216 1.1645
1.4308 1.6216 3.1634
1.2043 -4.2589 1.1688
2.4501 -5.4802 0.0000
1.9018 -4.2589 3.1591
1.5531 9.4459 2.1640
```


Entry 4:
The following is a computed powder XRD pattern of AcCu2AsS4. It was derived from a DFT-relaxed cell (GGA-PBE, Alexandria), using Cu Kα (λ = 1.5418 Å).
Neutral-atom scattering factors, no anomalous dispersion.

Largest 8 diffraction maxima, low angle first, 2θ from 10° to 90°:
d 4.964, 17.87°, I = 45; d 4.771, 18.60°, I = 28; d 3.533, 25.21°, I = 29; d 3.006, 29.72°, I = 100; d 2.878, 31.07°, I = 31; d 2.385, 37.71°, I = 50; d 1.921, 47.31°, I = 29; d 1.820, 50.13°, I = 25

Atomic structure:
```
AcCu2AsS4
1.0
-3.2334 3.5332 3.8717
3.2334 -3.5332 3.8717
3.2334 3.5332 -3.8717
Ac Cu As S
1 2 1 4
Cartesian
0.0000 0.0000 0.0000
3.2334 0.0000 2.5237
0.0000 3.5332 1.3480
0.0000 0.0000 3.8717
1.7410 2.1949 -1.4759
1.4925 1.3383 2.3958
1.4925 -1.3383 5.3476
1.7410 4.8715 1.4759
```